No. 1
This entry pairs a crystal structure of Tm2ZnS4 with its computed powder XRD pattern. Radiation: λ = 1.5418 Å (Cu Kα). Structure: a crystal structure in OQMD, relaxed with GGA-PBE.
No peak broadening, texture or thermal motion is included.

a b c (Å): 13.3432 7.7762 6.2849
angles (deg): 90.00 90.00 90.00
Space group Pnma (No. 62)
One atom of each set of equivalent atoms:
Tm 0.0000 0.0000 0.0000 (multiplicity 4)
Tm 0.2345 0.2500 0.4963 (multiplicity 4)
Zn 0.0922 0.7500 0.4113 (multiplicity 4)
S 0.0709 0.2500 0.7450 (multiplicity 4)
S 0.0904 0.7500 0.7770 (multiplicity 4)
S 0.1689 0.5115 0.2420 (multiplicity 8)

Top 6 peaks for 2θ from 10° to 80°, in order of rising 2θ:
2θ (°)	I_rel
19.34	79
24.52	56
26.53	50
27.11	82
27.80	91
39.26	100


No. 2
This entry pairs a crystal structure of HoB4W with its computed powder XRD pattern. Radiation: λ = 1.5418 Å (Cu Kα). Structure: a crystal structure in OQMD, relaxed with GGA-PBE.
No peak broadening, texture or thermal motion is included.

a b c (Å): 6.0194 11.6319 3.6150
angles (deg): 90.00 90.00 90.00
Space group Pbam (No. 55)
One atom of each set of equivalent atoms:
Ho 0.1271 0.1495 0.0000 (multiplicity 4)
B 0.0237 0.6936 0.5000 (multiplicity 4)
B 0.1142 0.5475 0.5000 (multiplicity 4)
B 0.1333 0.9680 0.5000 (multiplicity 4)
B 0.2128 0.8134 0.5000 (multiplicity 4)
W 0.1312 0.4154 0.0000 (multiplicity 4)

Top 6 peaks for 2θ from 10° to 80°, in order of rising 2θ:
2θ (°)	I_rel
24.63	99
30.71	84
37.84	35
39.75	100
42.64	35
45.67	47


No. 3
This entry pairs a crystal structure of Zn3Cu with its computed powder XRD pattern. Radiation: λ = 1.5418 Å (Cu Kα). Structure: a crystal structure in OQMD, relaxed with GGA-PBE.
No peak broadening, texture or thermal motion is included.

a b c (Å): 5.3898 5.3898 4.2759
angles (deg): 90.00 90.00 120.00
Space group P6_3/mmc (No. 194)
One atom of each set of equivalent atoms:
Zn 0.1690 0.3380 0.2500 (multiplicity 6)
Cu 0.3333 0.6667 0.7500 (multiplicity 2)

Top 6 peaks for 2θ from 10° to 80°, in order of rising 2θ:
2θ (°)	I_rel
38.58	25
42.27	25
44.21	100
58.55	14
69.80	16
78.66	16


No. 4
This entry pairs a crystal structure of Na3Cu2Pb with its computed powder XRD pattern. Radiation: λ = 1.5418 Å (Cu Kα). Structure: a crystal structure in OQMD, relaxed with GGA-PBE.
No peak broadening, texture or thermal motion is included.

a b c (Å): 5.3660 9.7051 10.1099
angles (deg): 90.00 90.00 90.00
Space group Fmm2 (No. 42)
One atom of each set of equivalent atoms:
Na 0.0000 0.0000 0.0000 (multiplicity 4)
Na 0.0000 0.1607 0.6561 (multiplicity 8)
Cu 0.2500 0.2500 0.3994 (multiplicity 8)
Pb 0.0000 0.0000 0.3341 (multiplicity 4)

Top 6 peaks for 2θ from 10° to 80°, in order of rising 2θ:
2θ (°)	I_rel
17.54	84
20.86	100
32.71	67
33.54	48
38.33	41
42.45	56


No. 5
This entry pairs a crystal structure of TaInAgSe2S with its computed powder XRD pattern. Radiation: λ = 1.5418 Å (Cu Kα). Structure: a crystal structure in OQMD, relaxed with GGA-PBE.
No peak broadening, texture or thermal motion is included.

a b c (Å): 3.6398 14.7450 10.1470
angles (deg): 90.00 90.00 90.00
Space group Cmcm (No. 63)
One atom of each set of equivalent atoms:
Ta 0.0000 0.0000 0.0000 (multiplicity 4)
In 0.0000 0.2754 0.2500 (multiplicity 4)
Ag 0.0000 0.4356 0.7500 (multiplicity 4)
Se 0.0000 0.3704 0.5188 (multiplicity 8)
S 0.0000 0.0588 0.7500 (multiplicity 4)

Top 6 peaks for 2θ from 10° to 80°, in order of rising 2θ:
2θ (°)	I_rel
12.00	55
30.56	51
31.84	54
35.40	100
40.79	48
43.33	39


No. 6
This entry pairs a crystal structure of Be2Nb4PdSe12 with its computed powder XRD pattern. Radiation: λ = 1.5418 Å (Cu Kα). Structure: a crystal structure in OQMD, relaxed with GGA-PBE.
No peak broadening, texture or thermal motion is included.

a b c (Å): 13.7702 3.4838 19.2651
angles (deg): 90.00 110.47 90.00
Space group C2/m (No. 12)
One atom of each set of equivalent atoms:
Be 0.0556 0.0000 0.2833 (multiplicity 4)
Nb 0.0119 0.5000 0.1491 (multiplicity 4)
Nb 0.1845 0.5000 0.4292 (multiplicity 4)
Pd 0.0000 0.0000 0.0000 (multiplicity 2)
Se 0.0324 0.0000 0.3912 (multiplicity 4)
Se 0.0852 0.5000 0.7664 (multiplicity 4)
Se 0.1213 0.0000 0.9315 (multiplicity 4)
Se 0.1383 0.0000 0.1233 (multiplicity 4)
Se 0.1692 0.5000 0.5583 (multiplicity 4)
Se 0.1735 0.5000 0.2818 (multiplicity 4)

Top 6 peaks for 2θ from 10° to 80°, in order of rising 2θ:
2θ (°)	I_rel
12.86	100
27.44	47
31.67	34
32.36	40
34.57	75
42.56	37


No. 7
This entry pairs a crystal structure of Y4Al3W2N3 with its computed powder XRD pattern. Radiation: λ = 1.5418 Å (Cu Kα). Structure: a crystal structure in OQMD, relaxed with GGA-PBE.
No peak broadening, texture or thermal motion is included.

a b c (Å): 9.9983 5.8378 14.2156
angles (deg): 90.00 103.58 90.00
Space group C2/c (No. 15)
One atom of each set of equivalent atoms:
Y 0.1160 0.0807 0.1004 (multiplicity 8)
Y 0.2150 0.0878 0.3996 (multiplicity 8)
Al 0.0000 0.1594 0.7500 (multiplicity 4)
Al 0.1293 0.4559 0.2483 (multiplicity 8)
W 0.0623 0.4123 0.9241 (multiplicity 8)
N 0.0787 0.2640 0.5000 (multiplicity 8)
N 0.2500 0.2500 0.0000 (multiplicity 4)

Top 6 peaks for 2θ from 10° to 80°, in order of rising 2θ:
2θ (°)	I_rel
12.81	58
30.90	24
31.58	26
36.44	53
36.67	100
39.12	29


No. 8
This entry pairs a crystal structure of NdHoSb2Te2 with its computed powder XRD pattern. Radiation: λ = 1.5418 Å (Cu Kα). Structure: a crystal structure in OQMD, relaxed with GGA-PBE.
No peak broadening, texture or thermal motion is included.

a b c (Å): 4.3139 4.3139 9.3687
angles (deg): 90.00 90.00 90.00
Space group P4mm (No. 99)
One atom of each set of equivalent atoms:
Nd 0.0000 0.0000 0.0000 (multiplicity 1)
Ho 0.5000 0.5000 0.4505 (multiplicity 1)
Sb 0.0000 0.5000 0.7214 (multiplicity 2)
Te 0.0000 0.0000 0.3557 (multiplicity 1)
Te 0.5000 0.5000 0.1073 (multiplicity 1)

Top 6 peaks for 2θ from 10° to 80°, in order of rising 2θ:
2θ (°)	I_rel
28.58	43
30.83	100
35.11	92
35.49	64
41.88	63
56.03	34